Computed PXRD pattern
Compound: Nd7Cd2Bi2
Radiation: copper Kα
Structure: DFT lattice parameters and positions (GGA-PBE)
No peak broadening, texture or thermal motion is included.

Structure:
```
data_Nd7Cd2Bi2
_chemical_formula_sum 'Nd14 Cd4 Bi4'
_cell_length_a 10.027
_cell_length_b 11.662
_cell_length_c 6.753
_cell_angle_alpha 90.00
_cell_angle_beta 90.00
_cell_angle_gamma 90.00
_symmetry_space_group_name_H-M 'C m m m'
_symmetry_Int_Tables_number 65
_symmetry_space_group_name_Hall '-C 2 2'
loop_
_atom_site_label
_atom_site_fract_x
_atom_site_fract_y
_atom_site_fract_z
_atom_site_occupancy
Nd1 0.000 0.000 0.000 1
Nd2 0.000 0.500 0.254 1
Nd3 0.250 0.250 0.261 1
Cd1 0.000 0.272 0.000 1
Bi1 0.191 0.000 0.500 1
```

The 8 most intense peaks (5 to 70 degrees two-theta), sorted by position:
d 4.413, 20.1°, I = 27, hkl 0 2 1
d 4.025, 22.1°, I = 54, hkl 2 0 1
d 3.086, 28.9°, I = 33, hkl 1 1 2
d 2.917, 30.6°, I = 80, hkl 0 4 0
d 2.524, 35.6°, I = 100, hkl 2 2 2
d 2.507, 35.8°, I = 25, hkl 4 0 0
d 2.471, 36.4°, I = 27, hkl 1 3 2
d 2.361, 38.1°, I = 24, hkl 2 4 1

=====

Computed PXRD pattern
Compound: Nd5CdBi2
Radiation: copper Kα
Structure: DFT lattice parameters and positions (GGA-PBE)
No peak broadening, texture or thermal motion is included.

Structure:
```
data_Nd5CdBi2
_chemical_formula_sum 'Nd20 Cd4 Bi8'
_cell_length_a 5.970
_cell_length_b 12.036
_cell_length_c 15.070
_cell_angle_alpha 90.00
_cell_angle_beta 90.00
_cell_angle_gamma 90.00
_symmetry_space_group_name_H-M 'C m c m'
_symmetry_Int_Tables_number 63
_symmetry_space_group_name_Hall '-C 2c 2'
loop_
_atom_site_label
_atom_site_fract_x
_atom_site_fract_y
_atom_site_fract_z
_atom_site_occupancy
Nd1 0.000 0.073 0.101 1
Nd2 0.000 0.377 0.051 1
Nd3 0.000 0.409 0.750 1
Cd1 0.000 0.291 0.250 1
Bi1 0.000 0.199 0.615 1
```

The 8 most intense peaks (5 to 70 degrees two-theta), sorted by position:
d 3.080, 29.0°, I = 54, hkl 1 1 4
d 2.985, 29.9°, I = 64, hkl 2 0 0
d 2.951, 30.3°, I = 32, hkl 0 4 1
d 2.775, 32.3°, I = 100, hkl 1 3 3
d 2.626, 34.1°, I = 20, hkl 1 1 5
d 2.495, 36.0°, I = 20, hkl 1 3 4
d 2.098, 43.1°, I = 25, hkl 2 4 1
d 1.680, 54.6°, I = 22, hkl 3 3 3

=====

Computed PXRD pattern
Compound: NdCd4Bi
Radiation: copper Kα
Structure: DFT lattice parameters and positions (GGA-PBE)
No peak broadening, texture or thermal motion is included.

Structure:
```
data_NdCd4Bi
_chemical_formula_sum 'Nd4 Cd16 Bi4'
_cell_length_a 8.534
_cell_length_b 8.534
_cell_length_c 8.534
_cell_angle_alpha 90.00
_cell_angle_beta 90.00
_cell_angle_gamma 90.00
_symmetry_space_group_name_H-M 'F -4 3 m'
_symmetry_Int_Tables_number 216
_symmetry_space_group_name_Hall 'F -4 2 3'
loop_
_atom_site_label
_atom_site_fract_x
_atom_site_fract_y
_atom_site_fract_z
_atom_site_occupancy
Nd1 0.000 0.000 0.000 1
Cd1 0.125 0.125 0.625 1
Bi1 0.250 0.250 0.250 1
```

The 8 most intense peaks (5 to 70 degrees two-theta), sorted by position:
d 4.927, 18.0°, I = 1, hkl 1 1 1
d 3.017, 29.6°, I = 41, hkl 2 2 0
d 2.573, 34.9°, I = 100, hkl 3 1 1
d 2.464, 36.5°, I = 27, hkl 2 2 2
d 1.742, 52.5°, I = 17, hkl 4 2 2
d 1.642, 56.0°, I = 34, hkl 5 1 1
d 1.509, 61.5°, I = 27, hkl 4 4 0
d 1.349, 69.7°, I = 7, hkl 6 2 0

=====

Computed PXRD pattern
Compound: NdCdSnBi
Radiation: copper Kα
Structure: DFT lattice parameters and positions (GGA-PBE)
No peak broadening, texture or thermal motion is included.

Structure:
```
data_NdCdSnBi
_chemical_formula_sum 'Nd1 Cd1 Sn1 Bi1'
_cell_length_a 4.528
_cell_length_b 4.915
_cell_length_c 4.992
_cell_angle_alpha 90.00
_cell_angle_beta 90.00
_cell_angle_gamma 90.00
_symmetry_space_group_name_H-M 'P m m m'
_symmetry_Int_Tables_number 47
loop_
_symmetry_equiv_pos_as_xyz
'x,y,z'
'-x,-y,-z'
'-x,-y,z'
'x,y,-z'
'x,-y,-z'
'-x,y,z'
'-x,y,-z'
'x,-y,z'
loop_
_atom_site_label
_atom_site_fract_x
_atom_site_fract_y
_atom_site_fract_z
_atom_site_occupancy
Nd1 0.000 0.000 0.000 1
Cd1 0.000 0.500 0.500 1
Sn1 0.500 0.500 0.000 1
Bi1 0.500 0.000 0.500 1
```

The 8 most intense peaks (5 to 70 degrees two-theta), sorted by position:
d 2.770, 32.3°, I = 100, hkl 1 1 1
d 2.496, 36.0°, I = 19, hkl 0 0 2
d 2.458, 36.6°, I = 18, hkl 0 2 0
d 2.264, 39.8°, I = 14, hkl 2 0 0
d 1.751, 52.2°, I = 13, hkl 0 2 2
d 1.489, 62.4°, I = 15, hkl 1 1 3
d 1.472, 63.2°, I = 15, hkl 1 3 1
d 1.386, 67.6°, I = 24, hkl 3 1 1

=====

Computed PXRD pattern
Compound: Np2CdBi5
Radiation: copper Kα
Structure: DFT lattice parameters and positions (GGA-PBE)
No peak broadening, texture or thermal motion is included.

Structure:
```
data_Np2CdBi5
_chemical_formula_sum 'Np4 Cd2 Bi10'
_cell_length_a 8.977
_cell_length_b 10.195
_cell_length_c 4.993
_cell_angle_alpha 90.00
_cell_angle_beta 90.00
_cell_angle_gamma 90.00
_symmetry_space_group_name_H-M 'C m m m'
_symmetry_Int_Tables_number 65
_symmetry_space_group_name_Hall '-C 2 2'
loop_
_atom_site_label
_atom_site_fract_x
_atom_site_fract_y
_atom_site_fract_z
_atom_site_occupancy
Np1 0.000 0.225 0.000 1
Cd1 0.000 0.500 0.500 1
Bi1 0.000 0.000 0.500 1
Bi2 0.221 0.500 0.000 1
Bi3 0.250 0.250 0.500 1
```

The 8 most intense peaks (5 to 70 degrees two-theta), sorted by position:
d 2.793, 32.1°, I = 100, hkl 2 2 1
d 2.549, 35.2°, I = 19, hkl 0 4 0
d 2.497, 36.0°, I = 20, hkl 0 0 2
d 2.244, 40.2°, I = 13, hkl 4 0 0
d 1.784, 51.2°, I = 13, hkl 0 4 2
d 1.514, 61.2°, I = 16, hkl 2 6 1
d 1.492, 62.2°, I = 16, hkl 2 2 3
d 1.396, 67.0°, I = 12, hkl 4 4 2

=====

Computed PXRD pattern
Compound: Np2Cd3Bi3
Radiation: copper Kα
Structure: DFT lattice parameters and positions (GGA-PBE)
No peak broadening, texture or thermal motion is included.

Structure:
```
data_Np2Cd3Bi3
_chemical_formula_sum 'Np2 Cd3 Bi3'
_cell_length_a 4.726
_cell_length_b 5.099
_cell_length_c 8.881
_cell_angle_alpha 90.00
_cell_angle_beta 90.00
_cell_angle_gamma 90.00
_symmetry_space_group_name_H-M 'P m m m'
_symmetry_Int_Tables_number 47
loop_
_symmetry_equiv_pos_as_xyz
'x,y,z'
'-x,-y,-z'
'-x,-y,z'
'x,y,-z'
'x,-y,-z'
'-x,y,z'
'-x,y,-z'
'x,-y,z'
loop_
_atom_site_label
_atom_site_fract_x
_atom_site_fract_y
_atom_site_fract_z
_atom_site_occupancy
Np1 0.000 0.000 0.246 1
Cd1 0.000 0.500 0.500 1
Cd2 0.500 0.500 0.263 1
Bi1 0.000 0.500 0.000 1
Bi2 0.500 0.000 0.000 1
Bi3 0.500 0.000 0.500 1
```

The 8 most intense peaks (5 to 70 degrees two-theta), sorted by position:
d 2.732, 32.8°, I = 100, hkl 1 1 2
d 2.550, 35.2°, I = 21, hkl 0 2 0
d 2.363, 38.1°, I = 17, hkl 2 0 0
d 2.220, 40.6°, I = 14, hkl 0 0 4
d 1.733, 52.8°, I = 13, hkl 2 2 0
d 1.505, 61.6°, I = 17, hkl 1 3 2
d 1.426, 65.5°, I = 14, hkl 3 1 2
d 1.366, 68.7°, I = 12, hkl 2 2 4

=====

Computed PXRD pattern
Compound: CdBiO2
Radiation: copper Kα
Structure: DFT lattice parameters and positions (GGA-PBE)
No peak broadening, texture or thermal motion is included.

Structure:
```
data_CdBiO2
_chemical_formula_sum 'Cd4 Bi4 O8'
_cell_length_a 5.201
_cell_length_b 5.201
_cell_length_c 11.462
_cell_angle_alpha 90.00
_cell_angle_beta 90.00
_cell_angle_gamma 90.00
_symmetry_space_group_name_H-M 'I -4 2 d'
_symmetry_Int_Tables_number 122
_symmetry_space_group_name_Hall 'I -4 2bw'
loop_
_atom_site_label
_atom_site_fract_x
_atom_site_fract_y
_atom_site_fract_z
_atom_site_occupancy
Cd1 0.000 0.000 0.000 1
Bi1 0.000 0.000 0.500 1
O1 0.244 0.250 0.125 1
```

The 8 most intense peaks (5 to 70 degrees two-theta), sorted by position:
d 3.095, 28.8°, I = 100, hkl 1 1 2
d 2.866, 31.2°, I = 16, hkl 0 0 4
d 2.600, 34.5°, I = 25, hkl 2 0 0
d 1.926, 47.2°, I = 31, hkl 2 0 4
d 1.839, 49.6°, I = 13, hkl 2 2 0
d 1.695, 54.1°, I = 17, hkl 1 1 6
d 1.581, 58.4°, I = 28, hkl 3 1 2
d 1.548, 59.8°, I = 11, hkl 2 2 4

=====

Computed PXRD pattern
Compound: Cd2Bi6O11
Radiation: copper Kα
Structure: DFT lattice parameters and positions (GGA-PBE)
No peak broadening, texture or thermal motion is included.

Structure:
```
data_Cd2Bi6O11
_chemical_formula_sum 'Cd2 Bi6 O11'
_cell_length_a 3.707
_cell_length_b 3.768
_cell_length_c 23.137
_cell_angle_alpha 89.34
_cell_angle_beta 89.59
_cell_angle_gamma 89.71
_symmetry_space_group_name_H-M 'P 1'
_symmetry_Int_Tables_number 1
loop_
_symmetry_equiv_pos_as_xyz
'x,y,z'
loop_
_atom_site_label
_atom_site_fract_x
_atom_site_fract_y
_atom_site_fract_z
_atom_site_occupancy
Cd1 0.000 0.000 0.000 1
Cd2 0.495 0.497 0.106 1
Bi1 0.475 0.568 0.605 1
Bi2 0.486 0.675 0.340 1
Bi3 0.502 0.585 0.878 1
Bi4 0.886 0.972 0.746 1
Bi5 0.982 0.074 0.472 1
Bi6 0.991 0.185 0.222 1
O1 0.003 0.886 0.849 1
O2 0.461 0.979 0.675 1
O3 0.480 0.363 0.500 1
O4 0.488 0.216 0.284 1
O5 0.494 0.982 0.161 1
O6 0.503 0.000 0.946 1
O7 0.583 0.467 0.773 1
O8 0.977 0.851 0.576 1
O9 0.985 0.386 0.393 1
O10 0.989 0.716 0.278 1
O11 0.998 0.494 0.052 1
```

The 8 most intense peaks (5 to 70 degrees two-theta), sorted by position:
d 3.174, 28.1°, I = 64, hkl 0 1 4
d 3.135, 28.5°, I = 100, hkl 1 0 4
d 3.111, 28.7°, I = 51, hkl 1 0 -4
d 2.891, 30.9°, I = 38, hkl 0 0 8
d 2.649, 33.8°, I = 29, hkl 1 1 0
d 2.636, 34.0°, I = 41, hkl 1 -1 0
d 2.056, 44.0°, I = 21, hkl 1 -1 7
d 1.596, 57.8°, I = 19, hkl -2 1 4

=====

Computed PXRD pattern
Compound: Cd4Bi2O9
Radiation: copper Kα
Structure: DFT lattice parameters and positions (GGA-PBE)
No peak broadening, texture or thermal motion is included.

Structure:
```
data_Cd4Bi2O9
_chemical_formula_sum 'Cd8 Bi4 O18'
_cell_length_a 5.7692
_cell_length_b 5.7692
_cell_length_c 15.1751
_cell_angle_alpha 90.00
_cell_angle_beta 90.00
_cell_angle_gamma 120.00
_symmetry_space_group_name_H-M 'P -3 c 1'
_symmetry_Int_Tables_number 165
_symmetry_space_group_name_Hall '-P 3 2"c'
loop_
_atom_site_label
_atom_site_fract_x
_atom_site_fract_y
_atom_site_fract_z
_atom_site_occupancy
Cd1 0.3333 0.6667 0.1937 1
Cd2 0.3333 0.6667 0.4766 1
Bi1 0.0000 0.0000 0.1433 1
O1 0.0000 0.2736 0.2500 1
O2 0.0352 0.3501 0.5866 1
```

The 8 most intense peaks (5 to 70 degrees two-theta), sorted by position:
d 4.996, 17.8°, I = 19, hkl 1 0 0
d 4.173, 21.3°, I = 17, hkl 1 0 2
d 3.021, 29.6°, I = 100, hkl 0 1 4
d 2.885, 31.0°, I = 92, hkl 1 1 0
d 2.086, 43.4°, I = 40, hkl 2 0 4
d 1.902, 47.8°, I = 30, hkl 1 1 6
d 1.691, 54.3°, I = 40, hkl 1 2 4
d 1.665, 55.1°, I = 26, hkl 3 0 0

=====

Computed PXRD pattern
Compound: CdBiOsO6
Radiation: copper Kα
Structure: DFT lattice parameters and positions (GGA-PBE)
No peak broadening, texture or thermal motion is included.

Structure:
```
data_CdBiOsO6
_chemical_formula_sum 'Cd2 Bi2 Os2 O12'
_cell_length_a 5.6149
_cell_length_b 5.6149
_cell_length_c 9.2038
_cell_angle_alpha 90.00
_cell_angle_beta 90.00
_cell_angle_gamma 120.00
_symmetry_space_group_name_H-M 'P -3 1 c'
_symmetry_Int_Tables_number 163
_symmetry_space_group_name_Hall '-P 3 2c'
loop_
_atom_site_label
_atom_site_fract_x
_atom_site_fract_y
_atom_site_fract_z
_atom_site_occupancy
Cd1 0.0000 0.0000 0.0000 1
Bi1 0.3333 0.6667 0.2500 1
Os1 0.3333 0.6667 0.7500 1
O1 0.0487 0.3833 0.6332 1
```

The 8 most intense peaks (5 to 70 degrees two-theta), sorted by position:
d 4.602, 19.3°, I = 30, hkl 0 0 2
d 3.342, 26.7°, I = 100, hkl 1 0 2
d 2.807, 31.9°, I = 69, hkl 1 1 0
d 2.397, 37.5°, I = 34, hkl 1 1 2
d 2.150, 42.0°, I = 29, hkl 2 0 2
d 1.780, 51.3°, I = 51, hkl 1 1 4
d 1.707, 53.7°, I = 29, hkl 2 1 2
d 1.621, 56.8°, I = 20, hkl 3 0 0

=====

Computed PXRD pattern
Compound: PaCdBiO6
Radiation: copper Kα
Structure: DFT lattice parameters and positions (GGA-PBE)
No peak broadening, texture or thermal motion is included.

Structure:
```
data_PaCdBiO6
_chemical_formula_sum 'Pa1 Cd1 Bi1 O6'
_cell_length_a 5.5890
_cell_length_b 5.5890
_cell_length_c 4.8818
_cell_angle_alpha 90.00
_cell_angle_beta 90.00
_cell_angle_gamma 120.00
_symmetry_space_group_name_H-M 'P 3 1 2'
_symmetry_Int_Tables_number 149
loop_
_symmetry_equiv_pos_as_xyz
'x,y,z'
'-y,x-y,z'
'-x+y,-x,z'
'-y,-x,-z'
'-x+y,y,-z'
'x,x-y,-z'
loop_
_atom_site_label
_atom_site_fract_x
_atom_site_fract_y
_atom_site_fract_z
_atom_site_occupancy
Pa1 0.0000 0.0000 0.0000 1
Cd1 0.3333 0.6667 0.5000 1
Bi1 0.6667 0.3333 0.5000 1
O1 0.3361 0.0235 0.7463 1
```

The 8 most intense peaks (5 to 70 degrees two-theta), sorted by position:
d 3.437, 25.9°, I = 100, hkl 1 0 1
d 2.795, 32.0°, I = 47, hkl 1 1 0
d 2.168, 41.7°, I = 29, hkl 2 0 1
d 1.838, 49.6°, I = 39, hkl 2 -1 2
d 1.713, 53.5°, I = 29, hkl 2 1 1
d 1.613, 57.1°, I = 14, hkl 3 0 0
d 1.542, 60.0°, I = 10, hkl 1 0 3
d 1.346, 69.9°, I = 9, hkl 3 0 2

=====

Computed PXRD pattern
Compound: PaCdBi2O6
Radiation: copper Kα
Structure: DFT lattice parameters and positions (GGA-PBE)
No peak broadening, texture or thermal motion is included.

Structure:
```
data_PaCdBi2O6
_chemical_formula_sum 'Pa2 Cd2 Bi4 O12'
_cell_length_a 5.977
_cell_length_b 6.039
_cell_length_c 10.556
_cell_angle_alpha 90.00
_cell_angle_beta 123.75
_cell_angle_gamma 90.00
_symmetry_space_group_name_H-M 'P 1 21/c 1'
_symmetry_Int_Tables_number 14
loop_
_symmetry_equiv_pos_as_xyz
'x,y,z'
'-x,-y,-z'
'-x,y+1/2,-z+1/2'
'x,-y+1/2,z+1/2'
loop_
_atom_site_label
_atom_site_fract_x
_atom_site_fract_y
_atom_site_fract_z
_atom_site_occupancy
Pa1 0.000 0.000 0.000 1
Cd1 0.500 0.000 0.500 1
Bi1 0.277 0.049 0.752 1
O1 0.089 0.070 0.229 1
O2 0.308 0.731 0.097 1
O3 0.340 0.222 0.073 1
```

The 8 most intense peaks (5 to 70 degrees two-theta), sorted by position:
d 3.066, 29.1°, I = 100, hkl 1 1 1
d 3.038, 29.4°, I = 96, hkl 1 1 -3
d 3.020, 29.6°, I = 38, hkl 0 2 0
d 2.988, 29.9°, I = 40, hkl 2 0 -2
d 2.194, 41.1°, I = 22, hkl 0 0 4
d 2.124, 42.6°, I = 36, hkl 2 2 -2
d 1.775, 51.5°, I = 22, hkl 0 2 4
d 1.746, 52.4°, I = 33, hkl 3 1 -1

=====

What is the formula in the twelfth record?
PaCdBi2O6